# 1
Ho3CuGeS7: theoretical X-ray diffraction stick pattern (Cu Ka), based on a cell relaxed with PBE.

Most intense lines, 5° ≤ 2θ ≤ 70°, in order of falling intensity:
25.9°, rel. 1000, hkl 2 0 1; 36.6°, rel. 493, hkl 2 2 0; 41.8°, rel. 307, hkl 1 2 2; 48.4°, rel. 248, hkl 2 2 2; 30.6°, rel. 238, hkl 0 0 2; 38.2°, rel. 230, hkl 1 3 0

Crystal structure
```
data_Ho3CuGeS7
_chemical_formula_sum 'Ho6 Cu2 Ge2 S14'
_cell_length_a 9.8148
_cell_length_b 9.8148
_cell_length_c 5.8472
_cell_angle_alpha 90.00
_cell_angle_beta 90.00
_cell_angle_gamma 120.00
_space_group_name_H-M_alt 'P 63'
_space_group_IT_number 173
_space_group_name_Hall 'P 6c'
loop_
_atom_site_label
_atom_site_type_symbol
_atom_site_fract_x
_atom_site_fract_y
_atom_site_fract_z
_atom_site_occupancy
Ho1 Ho 0.1382 0.3581 0.0000 1
Cu1 Cu 0.0000 0.0000 0.4362 1
Ge1 Ge 0.3333 0.6667 0.5808 1
S1 S 0.0964 0.5752 0.7435 1
S2 S 0.1039 0.2608 0.4547 1
S3 S 0.3333 0.6667 0.2026 1
```

***

# 2
InCuGeSe4: theoretical X-ray diffraction stick pattern (Cu Ka), based on a cell relaxed with PBE.

Most intense lines, 5° ≤ 2θ ≤ 70°, in order of falling intensity:
27.0°, rel. 1000, hkl 1 1 2; 45.6°, rel. 450, hkl 2 0 4; 51.9°, rel. 305, hkl 3 1 2; 43.4°, rel. 264, hkl 2 2 0; 17.1°, rel. 121, hkl 1 0 1; 55.7°, rel. 120, hkl 1 1 6

Crystal structure
```
data_InCuGeSe4
_chemical_formula_sum 'In2 Cu2 Ge2 Se8'
_cell_length_a 5.8922
_cell_length_b 5.8922
_cell_length_c 10.7869
_cell_angle_alpha 90.00
_cell_angle_beta 90.00
_cell_angle_gamma 90.00
_space_group_name_H-M_alt 'I -4'
_space_group_IT_number 82
_space_group_name_Hall 'I -4'
loop_
_atom_site_label
_atom_site_type_symbol
_atom_site_fract_x
_atom_site_fract_y
_atom_site_fract_z
_atom_site_occupancy
In1 In 0.0000 0.0000 0.0000 1
Cu1 Cu 0.0000 0.0000 0.5000 1
Ge1 Ge 0.0000 0.5000 0.2500 1
Se1 Se 0.2331 0.2360 0.3649 1
```

***

# 3
K2Cu3Ge5O14: theoretical X-ray diffraction stick pattern (Cu Ka), based on a cell relaxed with PBE.

Most intense lines, 5° ≤ 2θ ≤ 70°, in order of falling intensity:
12.4°, rel. 1000, hkl 0 1 0; 26.7°, rel. 849, hkl 1 2 1; 32.2°, rel. 597, hkl 2 0 2; 32.6°, rel. 574, hkl 1 -2 1; 18.0°, rel. 531, hkl 1 1 1; 26.6°, rel. 356, hkl 0 2 1

Crystal structure
```
data_K2Cu3Ge5O14
_chemical_formula_sum 'K2 Cu3 Ge5 O14'
_cell_length_a 6.3539
_cell_length_b 7.2825
_cell_length_c 7.9765
_cell_angle_alpha 80.93
_cell_angle_beta 70.90
_cell_angle_gamma 79.37
_space_group_name_H-M_alt 'P -1'
_space_group_IT_number 2
_space_group_name_Hall '-P 1'
loop_
_atom_site_label
_atom_site_type_symbol
_atom_site_fract_x
_atom_site_fract_y
_atom_site_fract_z
_atom_site_occupancy
K1 K 0.2225 0.4860 0.1608 1
Cu1 Cu 0.1558 0.9719 0.3293 1
Cu2 Cu 0.5000 0.0000 0.0000 1
Ge1 Ge 0.0000 0.0000 0.0000 1
Ge2 Ge 0.2895 0.7378 0.6854 1
Ge3 Ge 0.3283 0.2695 0.6959 1
O1 O 0.0743 0.1739 0.7812 1
O2 O 0.1004 0.8381 0.5652 1
O3 O 0.1843 0.1019 0.0936 1
O4 O 0.2328 0.5019 0.7633 1
O5 O 0.2682 0.8229 0.8853 1
O6 O 0.4210 0.2763 0.4555 1
O7 O 0.4444 0.8172 0.2186 1
```

***

# 4
KCu2GeS4: theoretical X-ray diffraction stick pattern (Cu Ka), based on a cell relaxed with PBE.

Most intense lines, 5° ≤ 2θ ≤ 70°, in order of falling intensity:
28.9°, rel. 1000, hkl 1 1 2; 50.8°, rel. 397, hkl 3 1 2; 40.8°, rel. 296, hkl 2 2 0; 51.5°, rel. 260, hkl 2 0 4; 17.5°, rel. 144, hkl 1 0 1; 28.5°, rel. 144, hkl 2 0 0

Crystal structure
```
data_KCu2GeS4
_chemical_formula_sum 'K2 Cu4 Ge2 S8'
_cell_length_a 6.2569
_cell_length_b 6.2569
_cell_length_c 8.6277
_cell_angle_alpha 90.00
_cell_angle_beta 90.00
_cell_angle_gamma 90.00
_space_group_name_H-M_alt 'I -4 2 m'
_space_group_IT_number 121
_space_group_name_Hall 'I -4 2'
loop_
_atom_site_label
_atom_site_type_symbol
_atom_site_fract_x
_atom_site_fract_y
_atom_site_fract_z
_atom_site_occupancy
K1 K 0.0000 0.0000 0.0000 1
Cu1 Cu 0.0000 0.5000 0.2500 1
Ge1 Ge 0.0000 0.0000 0.5000 1
S1 S 0.2006 0.2006 0.3409 1
```

***

# 5
LaCuGe: theoretical X-ray diffraction stick pattern (Cu Ka), based on a cell relaxed with PBE.

Most intense lines, 5° ≤ 2θ ≤ 70°, in order of falling intensity:
32.2°, rel. 1000, hkl 1 0 1; 42.3°, rel. 423, hkl 1 1 0; 61.9°, rel. 267, hkl 1 1 2; 54.2°, rel. 224, hkl 2 0 1; 42.9°, rel. 136, hkl 0 0 2; 24.1°, rel. 99, hkl 1 0 0

Crystal structure
```
data_LaCuGe
_chemical_formula_sum 'La1 Cu1 Ge1'
_cell_length_a 4.2692
_cell_length_b 4.2692
_cell_length_c 4.2160
_cell_angle_alpha 90.00
_cell_angle_beta 90.00
_cell_angle_gamma 120.00
_space_group_name_H-M_alt 'P -6 m 2'
_space_group_IT_number 187
_space_group_name_Hall 'P -6 2'
loop_
_atom_site_label
_atom_site_type_symbol
_atom_site_fract_x
_atom_site_fract_y
_atom_site_fract_z
_atom_site_occupancy
La1 La 0.0000 0.0000 0.0000 1
Cu1 Cu 0.3333 0.6667 0.5000 1
Ge1 Ge 0.6667 0.3333 0.5000 1
```

***

# 6
La15CuGe9: theoretical X-ray diffraction stick pattern (Cu Ka), based on a cell relaxed with PBE.

Most intense lines, 5° ≤ 2θ ≤ 70°, in order of falling intensity:
32.6°, rel. 1000, hkl 3 0 2; 32.8°, rel. 831, hkl 4 1 1; 34.2°, rel. 563, hkl 3 3 0; 30.1°, rel. 238, hkl 4 1 0; 47.9°, rel. 228, hkl 6 0 2; 50.1°, rel. 224, hkl 4 1 3

Crystal structure
```
data_La15CuGe9
_chemical_formula_sum 'La30 Cu2 Ge18'
_cell_length_a 15.7313
_cell_length_b 15.7313
_cell_length_c 6.9116
_cell_angle_alpha 90.00
_cell_angle_beta 90.00
_cell_angle_gamma 120.00
_space_group_name_H-M_alt 'P 63 m c'
_space_group_IT_number 186
_space_group_name_Hall 'P 6c -2c'
loop_
_atom_site_label
_atom_site_type_symbol
_atom_site_fract_x
_atom_site_fract_y
_atom_site_fract_z
_atom_site_occupancy
La1 La 0.0186 0.3408 0.0000 1
La2 La 0.0831 0.1662 0.2798 1
La3 La 0.1574 0.5787 0.2479 1
La4 La 0.2455 0.4909 0.7296 1
Cu1 Cu 0.3333 0.6667 0.4857 1
Ge1 Ge 0.0736 0.5368 0.7293 1
Ge2 Ge 0.1295 0.2591 0.7234 1
Ge3 Ge 0.2018 0.4036 0.2861 1
```

***

# 7
LaCuGe2: theoretical X-ray diffraction stick pattern (Cu Ka), based on a cell relaxed with PBE.

Most intense lines, 5° ≤ 2θ ≤ 70°, in order of falling intensity:
33.0°, rel. 1000, hkl 1 3 1; 40.9°, rel. 226, hkl 2 0 0; 42.1°, rel. 208, hkl 0 0 2; 37.6°, rel. 204, hkl 0 6 1; 60.2°, rel. 141, hkl 2 0 2; 29.5°, rel. 140, hkl 1 1 1

Crystal structure
```
data_LaCuGe2
_chemical_formula_sum 'La4 Cu4 Ge8'
_cell_length_a 4.4103
_cell_length_b 17.2837
_cell_length_c 4.2916
_cell_angle_alpha 90.00
_cell_angle_beta 90.00
_cell_angle_gamma 90.00
_space_group_name_H-M_alt 'C m c m'
_space_group_IT_number 63
_space_group_name_Hall '-C 2c 2'
loop_
_atom_site_label
_atom_site_type_symbol
_atom_site_fract_x
_atom_site_fract_y
_atom_site_fract_z
_atom_site_occupancy
La1 La 0.0000 0.1054 0.2500 1
Cu1 Cu 0.0000 0.3208 0.2500 1
Ge1 Ge 0.0000 0.2482 0.7500 1
Ge2 Ge 0.0000 0.4606 0.2500 1
```

***

# 8
La2Mn3CuGe4: theoretical X-ray diffraction stick pattern (Cu Ka), based on a cell relaxed with PBE.

Most intense lines, 5° ≤ 2θ ≤ 70°, in order of falling intensity:
32.9°, rel. 1000, hkl 1 0 3; 34.8°, rel. 976, hkl 1 1 2; 43.7°, rel. 639, hkl 2 0 0; 55.8°, rel. 439, hkl 2 1 3; 47.4°, rel. 370, hkl 1 0 5; 30.5°, rel. 295, hkl 1 1 0

Crystal structure
```
data_La2Mn3CuGe4
_chemical_formula_sum 'La2 Mn3 Cu1 Ge4'
_cell_length_a 4.1459
_cell_length_b 4.1459
_cell_length_c 10.8083
_cell_angle_alpha 90.00
_cell_angle_beta 90.00
_cell_angle_gamma 90.00
_space_group_name_H-M_alt 'P -4 m 2'
_space_group_IT_number 115
_space_group_name_Hall 'P -4 -2'
loop_
_atom_site_label
_atom_site_type_symbol
_atom_site_fract_x
_atom_site_fract_y
_atom_site_fract_z
_atom_site_occupancy
La1 La 0.0000 0.5000 0.2493 1
Mn1 Mn 0.0000 0.0000 0.0000 1
Mn2 Mn 0.0000 0.0000 0.5000 1
Mn3 Mn 0.5000 0.5000 0.5000 1
Cu1 Cu 0.5000 0.5000 0.0000 1
Ge1 Ge 0.0000 0.5000 0.6236 1
Ge2 Ge 0.0000 0.5000 0.8719 1
```